Theoretical powder X-ray diffraction pattern of ZrPaO5 for Cu Kα X-rays, from the PBE geometry in Alexandria.

Main lines, in order of falling intensity (5° ≤ 2θ ≤ 70°):
- 2θ = 25.9°, rel. 1000
- 2θ = 21.4°, rel. 870
- 2θ = 33.9°, rel. 629
- 2θ = 26.1°, rel. 570
- 2θ = 51.5°, rel. 481
- 2θ = 16.8°, rel. 415
- 2θ = 34.0°, rel. 370
- 2θ = 51.2°, rel. 278
- 2θ = 45.9°, rel. 272
- 2θ = 36.3°, rel. 244

Structural model:
Cell: 5.730 5.730 5.730 Å, 139.43 106.80 87.22°
Fractional coordinates of all 7 atoms:
Zr1 0.000 0.000 0.000
Pa1 0.500 0.500 0.000
O1 0.000 0.500 0.500
O2 0.260 0.260 0.000
O3 0.313 0.000 0.313
O4 0.687 0.000 0.687
O5 0.740 0.740 0.000